The following is a calculated PXRD pattern of HfFe2Au. It was derived from a GGA-PBE-relaxed structure, using a wavelength of 1.5418 Å.
No peak broadening, texture or thermal motion is included.

The 7 most intense peaks (2θ = 10–90°), sorted by position:
- 2θ = 28.5°, I = 34.3, hkl 2 0 0
- 2θ = 40.8°, I = 100.0, hkl 2 2 0
- 2θ = 50.5°, I = 10.2, hkl 2 2 2
- 2θ = 59.0°, I = 16.6, hkl 4 0 0
- 2θ = 66.8°, I = 13.9, hkl 4 2 0
- 2θ = 74.2°, I = 33.7, hkl 4 2 2
- 2θ = 88.3°, I = 11.1, hkl 4 4 0

Atomic structure:
```
data_HfFe2Au
_chemical_formula_sum 'Hf4 Fe8 Au4'
_cell_length_a 6.2615
_cell_length_b 6.2615
_cell_length_c 6.2615
_cell_angle_alpha 90.00
_cell_angle_beta 90.00
_cell_angle_gamma 90.00
_space_group_name_H-M_alt 'F m -3 m'
_space_group_IT_number 225
_space_group_name_Hall '-F 4 2 3'
loop_
_atom_site_label
_atom_site_fract_x
_atom_site_fract_y
_atom_site_fract_z
_atom_site_occupancy
Hf1 0.0000 0.0000 0.0000 1
Fe1 0.2500 0.2500 0.2500 1
Au1 0.0000 0.0000 0.5000 1
```